This entry pairs a crystal structure of Cs2VPdF6 with its simulated X-ray diffraction stick pattern. Radiation: Cu Kα X-rays. Structure: a DFT-relaxed cell (GGA+U, Alexandria).

Structural model:
Cell: 6.3052 6.3052 6.3052 Å, 116.85 116.85 95.55°
Fractional positions:
Cs: 0.2500 0.7500 0.5000
Cs: 0.7500 0.2500 0.5000
V: 0.0000 0.0000 0.0000
Pd: 0.5000 0.5000 0.0000
F: 0.2097 0.2097 0.4194
F: 0.2097 0.7903 0.0000
F: 0.2442 0.2442 0.0000
F: 0.7558 0.7558 0.0000
F: 0.7903 0.2097 0.0000
F: 0.7903 0.7903 0.5806

Top 10 peaks for 2θ = 10–80°, in order of rising 2θ:
2θ (°), d/Å, Rel. int.
27.01, 3.302, 59
28.45, 3.138, 100
34.44, 2.604, 19
38.56, 2.335, 40
42.68, 2.119, 16
48.61, 1.873, 41
51.23, 1.783, 20
58.86, 1.569, 21
77.00, 1.238, 12
79.05, 1.211, 13